Diffraction record for Rb2CoSbO4. The powder diffractogram is computed, not measured: it uses the GGA+U geometry in Alexandria and λ = 1.5418 Å (Cu Kα).

The 10 most intense peaks (5 to 70 degrees two-theta), sorted by position:
| index | 2theta | d_spacing | I (rel.) |
| --- | --- | --- | --- |
| 2 0 0 | 28.16 | 3.169 | 37.6 |
| 0 2 1 | 29.82 | 2.996 | 100.0 |
| 2 2 -1 | 31.31 | 2.857 | 75.5 |
| 0 0 2 | 39.14 | 2.301 | 19.3 |
| 2 2 1 | 49.91 | 1.827 | 18.1 |
| 2 2 -3 | 51.98 | 1.759 | 15.6 |
| 4 2 -1 | 52.81 | 1.733 | 15.4 |
| 2 4 0 | 54.81 | 1.675 | 27.3 |
| 2 4 -2 | 55.79 | 1.648 | 14.4 |
| 0 2 3 | 65.28 | 1.429 | 16.0 |

Structural model:
```
Rb2CoSbO4
1.0
8.297 0.000 0.000
0.000 7.891 0.000
-3.890 0.000 4.603
Rb Co Sb O
4 2 2 8
direct
0.000 0.000 0.000 Rb
0.000 0.249 0.500 Rb
0.500 0.500 0.000 Rb
0.500 0.749 0.500 Rb
0.000 0.774 0.500 Co
0.500 0.274 0.500 Co
0.000 0.505 0.000 Sb
0.500 0.005 0.000 Sb
0.118 0.660 0.877 O
0.231 0.922 0.603 O
0.269 0.422 0.397 O
0.382 0.160 0.123 O
0.618 0.160 0.877 O
0.731 0.422 0.603 O
0.769 0.922 0.397 O
0.882 0.660 0.123 O
```